Calculated PXRD pattern of ZrBr2 for CuKα, from a DFT-relaxed cell (PBE, the Materials Project).

Structure:
```
data_ZrBr2
_space_group_name_H-M_alt 'R -3'
_space_group_IT_number 148
_space_group_name_Hall '-R 3'
_cell_length_a 13.8479
_cell_length_b 13.8479
_cell_length_c 9.6855
_cell_angle_alpha 90.00
_cell_angle_beta 90.00
_cell_angle_gamma 120.00
loop_
_atom_site_label
_atom_site_type_symbol
_atom_site_fract_x
_atom_site_fract_y
_atom_site_fract_z
Zr1 Zr 0.0413 0.1478 0.3622
Br1 Br 0.0261 0.5863 0.1632
Br2 Br 0.0498 0.1758 0.8190
```

Peak list (10 most intense, 2θ = 10–90°, sorted by position)
(1 0 1), 11.7 deg, d 7.535, I = 33.8; (1 1 0), 12.8 deg, d 6.924, I = 13.5; (4 -3 1), 28.4 deg, d 3.146, I = 22.0; (3 1 2), 32.7 deg, d 2.742, I = 100.0; (4 -3 4), 46.4 deg, d 1.958, I = 30.6; (2 5 0), 47.3 deg, d 1.920, I = 31.0; (8 -6 2), 58.7 deg, d 1.573, I = 13.4; (6 2 4), 68.4 deg, d 1.371, I = 9.0; (7 -2 6), 77.2 deg, d 1.236, I = 10.8; (10 -1 2), 78.6 deg, d 1.217, I = 9.5